[1]
Structure and theoretical powder XRD pattern of UTl2P2N6 (DFT lattice parameters and positions (GGA-PBE); Cu Kα (weighted mean of Kα1 and Kα2)).
No peak broadening, texture or thermal motion is included.

Main lines, in order of rising 2θ (10 to 90 degrees two-theta):
18.28 deg, I 46; 25.53 deg, I 34; 29.07 deg, I 100; 30.90 deg, I 78; 42.94 deg, I 30; 53.83 deg, I 35

Cell and atoms:
abc: 7.2884 7.2884 7.2884
angles: 46.79 46.79 46.79
Sites, in units of the cell vectors:
U1 0.0000 0.0000 0.0000
Tl1 0.2088 0.2088 0.2088
Tl2 0.7912 0.7912 0.7912
P1 0.3978 0.3978 0.3978
P2 0.6022 0.6022 0.6022
N1 0.2423 0.2423 0.7157
N2 0.2423 0.7157 0.2423
N3 0.2843 0.7577 0.7577
N4 0.7157 0.2423 0.2423
N5 0.7577 0.2843 0.7577
N6 0.7577 0.7577 0.2843

***

[2]
Structure and theoretical powder XRD pattern of PrNd2SmY6 (DFT lattice parameters and positions (GGA-PBE); Cu Kα (weighted mean of Kα1 and Kα2)).
No peak broadening, texture or thermal motion is included.

Main lines, in order of rising 2θ (10 to 90 degrees two-theta):
28.44 deg, I 45; 29.91 deg, I 53; 30.12 deg, I 57; 31.22 deg, I 100; 31.53 deg, I 82; 32.85 deg, I 55

Cell and atoms:
abc: 8.8340 8.8340 9.9046
angles: 95.11 95.11 117.50
Sites, in units of the cell vectors:
Pr1 0.0176 0.9824 0.7500
Pr2 0.9824 0.0176 0.2500
Nd1 0.1915 0.2893 0.5443
Nd2 0.2893 0.1915 0.0443
Nd3 0.7107 0.8085 0.9557
Nd4 0.8085 0.7107 0.4557
Sm1 0.4059 0.5941 0.2500
Sm2 0.5941 0.4059 0.7500
Y1 0.0214 0.5732 0.6842
Y2 0.1189 0.7393 0.0570
Y3 0.2607 0.8811 0.4430
Y4 0.2989 0.5092 0.8820
Y5 0.4268 0.9786 0.8158
Y6 0.4908 0.7011 0.6180
Y7 0.5092 0.2989 0.3820
Y8 0.5732 0.0214 0.1842
Y9 0.7011 0.4908 0.1180
Y10 0.7393 0.1189 0.5570
Y11 0.8811 0.2607 0.9430
Y12 0.9786 0.4268 0.3158

***

[3]
Structure and theoretical powder XRD pattern of Mn4Fe6Co (DFT lattice parameters and positions (GGA-PBE); Cu Kα (weighted mean of Kα1 and Kα2)).
No peak broadening, texture or thermal motion is included.

Main lines, in order of rising 2θ (10 to 90 degrees two-theta):
12.72 deg, I 29; 39.95 deg, I 20; 43.38 deg, I 19; 44.15 deg, I 19; 45.14 deg, I 100; 46.14 deg, I 52

Cell and atoms:
abc: 8.0345 8.0345 4.7714
angles: 90.00 90.00 120.00
Sites, in units of the cell vectors:
Mn1 0.1462 0.2924 0.0000
Mn2 0.1462 0.8538 0.0000
Mn3 0.2924 0.1462 0.5000
Mn4 0.3333 0.6667 0.7037
Mn5 0.6667 0.3333 0.2037
Mn6 0.7076 0.8538 0.0000
Mn7 0.8538 0.1462 0.5000
Mn8 0.8538 0.7076 0.5000
Fe1 0.0032 0.5016 0.7905
Fe2 0.1871 0.3741 0.4949
Fe3 0.1871 0.8129 0.4949
Fe4 0.3741 0.1871 0.9949
Fe5 0.4984 0.5016 0.7905
Fe6 0.4984 0.9968 0.7905
Fe7 0.5016 0.0032 0.2905
Fe8 0.5016 0.4984 0.2905
Fe9 0.6259 0.8129 0.4949
Fe10 0.8129 0.1871 0.9949
Fe11 0.8129 0.6259 0.9949
Fe12 0.9968 0.4984 0.2905
Co1 0.3333 0.6667 0.1689
Co2 0.6667 0.3333 0.6689